MgTe2Mo2WSe2S2: theoretical powder diffractogram (Cu Kα, 1.54184 Å), based on the GGA-PBE geometry in the Materials Project.
Intensities are scaled so that the largest is 100.

Principal peaks in the range 2θ from 15° to 90°, low angle first:
(2 0 0), d 2.913, I 87; (2 0 -7), d 2.526, I 64; (1 1 7), d 2.519, I 77; (1 1 -11), d 2.160, I 77; (2 0 11), d 2.153, I 75; (3 1 0), d 1.681, I 100

Structural model:
Cell lengths 5.8265, 3.3636, 35.2797 Å; angles 90.00, 90.28, 90.00 degrees
Space group Cm (No. 8)
One atom of each set of equivalent atoms:
Mg 0.0000 0.0000 0.0000
Te 0.0026 0.0000 0.4021
Te 0.4993 0.5000 0.2945
Mo 0.1678 0.5000 0.8816
Mo 0.4990 0.5000 0.1243
W 0.1677 0.5000 0.3483
Se 0.1644 0.5000 0.0767
Se 0.1670 0.5000 0.1712
S 0.9998 0.0000 0.8391
S 0.0024 0.0000 0.9242

---

LiFe2P2: theoretical powder diffractogram (Cu Kα, 1.54184 Å), based on the GGA-PBE geometry in the Materials Project.
Intensities are scaled so that the largest is 100.

Principal peaks in the range 2θ from 15° to 90°, low angle first:
(0 0 2), d 4.523, I 100; (1 0 1), d 3.474, I 24; (1 1 2), d 2.293, I 73; (2 0 0), d 1.881, I 43; (2 0 2), d 1.737, I 25; (1 1 4), d 1.723, I 57

Structural model:
Cell lengths 3.7622, 3.7622, 9.0453 Å; angles 90.00, 90.00, 90.00 degrees
Space group I4/mmm (No. 139)
One atom of each set of equivalent atoms:
Li 0.0000 0.0000 0.0000
Fe 0.0000 0.5000 0.2500
P 0.0000 0.0000 0.3734